1.
Structure and calculated powder XRD pattern of V3Pd3Pt (DFT lattice parameters and positions (PBE); Cu Kα X-rays).
Intensities are scaled so that the largest is 100.

Main lines, in order of rising 2θ (10 to 90 degrees two-theta):
hkl	two_theta	intensity
1 0 1	19.6	29.6
0 2 1	29.9	71.7
2 1 1	37.7	62.3
3 0 0	39.3	44.9
2 0 2	39.8	100.0
0 0 3	45.2	23.3
2 2 0	45.7	38.1
1 2 2	46.2	23.6
1 3 1	50.2	44.0
3 1 2	57.2	23.6

Crystal structure
```
data_V3Pd3Pt
_chemical_formula_sum 'V9 Pd9 Pt3'
_space_group_name_H-M_alt 'R 3 m'
_space_group_IT_number 160
_space_group_name_Hall 'R 3 -2"'
_cell_length_a 7.9362
_cell_length_b 7.9362
_cell_length_c 6.0222
_cell_angle_alpha 90.00
_cell_angle_beta 90.00
_cell_angle_gamma 120.00
loop_
_atom_site_label
_atom_site_fract_x
_atom_site_fract_y
_atom_site_fract_z
_atom_site_occupancy
V1 0.1842 0.3684 0.0000 1
Pd1 0.2135 0.4271 0.4123 1
Pt1 0.0000 0.0000 0.1036 1
```

=====

2.
Structure and calculated powder XRD pattern of Co2Ni2IrPt2 (DFT lattice parameters and positions (PBE); Cu Kα X-rays).
Intensities are scaled so that the largest is 100.

Main lines, in order of rising 2θ (10 to 90 degrees two-theta):
hkl	two_theta	intensity
1 1 0	24.8	57.9
2 0 -1	26.0	27.9
2 0 -3	39.8	66.4
0 2 0	40.2	66.2
1 1 2	44.1	100.0
3 1 -1	45.1	95.1
2 2 -3	57.9	43.9
1 1 -5	74.6	19.5
1 3 2	75.8	19.8
3 3 -1	76.5	19.5

Crystal structure
```
data_Co2Ni2IrPt2
_chemical_formula_sum 'Co4 Ni4 Ir2 Pt4'
_space_group_name_H-M_alt 'C 1 2/m 1'
_space_group_IT_number 12
_space_group_name_Hall '-C 2y'
_cell_length_a 6.848
_cell_length_b 4.485
_cell_length_c 6.957
_cell_angle_alpha 90.00
_cell_angle_beta 118.76
_cell_angle_gamma 90.00
loop_
_atom_site_label
_atom_site_fract_x
_atom_site_fract_y
_atom_site_fract_z
_atom_site_occupancy
Co1 0.072 0.000 0.231 1
Ni1 0.210 0.000 0.637 1
Ir1 0.000 0.500 0.500 1
Pt1 0.142 0.500 0.920 1
```

=====

3.
Structure and calculated powder XRD pattern of LiP3Pd10 (DFT lattice parameters and positions (PBE); Cu Kα X-rays).
Intensities are scaled so that the largest is 100.

Main lines, in order of rising 2θ (10 to 90 degrees two-theta):
hkl	two_theta	intensity
2 2 0	20.8	29.9
4 0 0	29.6	13.1
4 2 0	33.2	14.3
3 3 3	38.8	100.0
4 4 0	42.4	16.5
5 3 1	44.4	49.5
6 0 0	45.1	22.4
6 6 0	65.7	16.2
9 1 1	71.2	13.9
8 4 4	77.6	15.3

Crystal structure
```
data_LiP3Pd10
_chemical_formula_sum 'Li8 P24 Pd80'
_space_group_name_H-M_alt 'F m -3 m'
_space_group_IT_number 225
_space_group_name_Hall '-F 4 2 3'
_cell_length_a 12.059
_cell_length_b 12.059
_cell_length_c 12.059
_cell_angle_alpha 90.00
_cell_angle_beta 90.00
_cell_angle_gamma 90.00
loop_
_atom_site_label
_atom_site_fract_x
_atom_site_fract_y
_atom_site_fract_z
_atom_site_occupancy
Li1 0.250 0.250 0.250 1
P1 0.000 0.000 0.235 1
Pd1 0.000 0.171 0.329 1
Pd2 0.118 0.118 0.118 1
```

=====

4.
Structure and calculated powder XRD pattern of Sr4AcMg5 (DFT lattice parameters and positions (PBE); Cu Kα X-rays).
Intensities are scaled so that the largest is 100.

Main lines, in order of rising 2θ (10 to 90 degrees two-theta):
hkl	two_theta	intensity
1 0 0	21.3	46.9
1 1 0	30.3	100.0
1 1 5	37.4	15.3
2 0 0	43.4	12.5
2 1 0	48.8	14.3
1 0 10	48.9	8.4
2 1 5	53.8	26.2
1 1 10	53.9	13.0
3 1 0	71.5	11.2
3 2 5	87.5	13.4

Crystal structure
```
data_Sr4AcMg5
_chemical_formula_sum 'Sr4 Ac1 Mg5'
_space_group_name_H-M_alt 'P 4/m m m'
_space_group_IT_number 123
_space_group_name_Hall '-P 4 2'
_cell_length_a 4.174
_cell_length_b 4.174
_cell_length_c 20.794
_cell_angle_alpha 90.00
_cell_angle_beta 90.00
_cell_angle_gamma 90.00
loop_
_atom_site_label
_atom_site_fract_x
_atom_site_fract_y
_atom_site_fract_z
_atom_site_occupancy
Sr1 0.000 0.000 0.101 1
Sr2 0.000 0.000 0.302 1
Ac1 0.000 0.000 0.500 1
Mg1 0.500 0.500 0.000 1
Mg2 0.500 0.500 0.201 1
Mg3 0.500 0.500 0.403 1
```

=====

5.
Structure and calculated powder XRD pattern of Ti4N2O (DFT lattice parameters and positions (PBE); Cu Kα X-rays).
Intensities are scaled so that the largest is 100.

Main lines, in order of rising 2θ (10 to 90 degrees two-theta):
hkl	two_theta	intensity
0 2 2	35.4	66.6
2 0 2	37.7	100.0
2 2 0	40.4	87.4
0 0 4	46.5	35.4
2 3 1	52.5	14.3
0 4 0	55.2	15.3
4 0 0	61.6	15.7
2 3 3	63.1	15.4
2 2 4	63.3	38.4
2 4 2	68.8	16.5

Crystal structure
```
data_Ti4N2O
_chemical_formula_sum 'Ti16 N8 O4'
_space_group_name_H-M_alt 'I m m a'
_space_group_IT_number 74
_space_group_name_Hall '-I 2b 2'
_cell_length_a 6.023
_cell_length_b 6.660
_cell_length_c 7.809
_cell_angle_alpha 90.00
_cell_angle_beta 90.00
_cell_angle_gamma 90.00
loop_
_atom_site_label
_atom_site_fract_x
_atom_site_fract_y
_atom_site_fract_z
_atom_site_occupancy
Ti1 0.000 0.040 0.241 1
Ti2 0.239 0.250 0.517 1
N1 0.000 0.000 0.500 1
N2 0.250 0.250 0.250 1
O1 0.000 0.250 0.794 1
```

=====

6.
Structure and calculated powder XRD pattern of Pr3Ho5Er3 (DFT lattice parameters and positions (PBE); Cu Kα X-rays).
Intensities are scaled so that the largest is 100.

Main lines, in order of rising 2θ (10 to 90 degrees two-theta):
hkl	two_theta	intensity
1 0 0	10.6	46.7
0 0 1	16.5	63.3
2 0 1	27.0	92.5
2 1 0	28.2	44.2
3 0 0	32.1	53.9
2 1 1	32.8	87.8
0 0 2	33.3	61.6
3 0 1	36.3	100.0
3 1 1	42.4	34.8
3 0 2	46.9	37.6

Crystal structure
```
data_Pr3Ho5Er3
_chemical_formula_sum 'Pr3 Ho5 Er3'
_space_group_name_H-M_alt 'P -6 2 m'
_space_group_IT_number 189
_space_group_name_Hall 'P -6 -2'
_cell_length_a 9.6656
_cell_length_b 9.6656
_cell_length_c 5.3795
_cell_angle_alpha 90.00
_cell_angle_beta 90.00
_cell_angle_gamma 120.00
loop_
_atom_site_label
_atom_site_fract_x
_atom_site_fract_y
_atom_site_fract_z
_atom_site_occupancy
Pr1 0.0000 0.3649 0.0000 1
Ho1 0.0000 0.7357 0.0000 1
Ho2 0.3333 0.6667 0.0000 1
Er1 0.0000 0.5435 0.5000 1
```

=====

7.
Structure and calculated powder XRD pattern of Sr4Zn3Ag (DFT lattice parameters and positions (PBE); Cu Kα X-rays).
Intensities are scaled so that the largest is 100.

Main lines, in order of rising 2θ (10 to 90 degrees two-theta):
hkl	two_theta	intensity
0 0 2	14.6	18.6
1 1 1	28.4	100.0
1 0 3	29.6	56.9
0 1 4	35.4	40.3
1 1 3	35.5	70.5
0 2 0	38.7	31.2
2 0 0	39.7	29.0
1 2 3	49.5	33.2
2 1 4	54.2	22.7
2 2 0	56.7	19.9

Crystal structure
```
data_Sr4Zn3Ag
_chemical_formula_sum 'Sr4 Zn3 Ag1'
_space_group_name_H-M_alt 'P m m 2'
_space_group_IT_number 25
_space_group_name_Hall 'P 2 -2'
_cell_length_a 4.539
_cell_length_b 4.650
_cell_length_c 12.117
_cell_angle_alpha 90.00
_cell_angle_beta 90.00
_cell_angle_gamma 90.00
loop_
_atom_site_label
_atom_site_fract_x
_atom_site_fract_y
_atom_site_fract_z
_atom_site_occupancy
Sr1 0.000 0.000 0.000 1
Sr2 0.000 0.500 0.286 1
Sr3 0.500 0.000 0.500 1
Sr4 0.500 0.500 0.786 1
Zn1 0.000 0.000 0.702 1
Zn2 0.000 0.500 0.583 1
Zn3 0.500 0.500 0.080 1
Ag1 0.500 0.000 0.206 1
```

=====

8.
Structure and calculated powder XRD pattern of Sm2Re3B6 (DFT lattice parameters and positions (PBE); Cu Kα X-rays).
Intensities are scaled so that the largest is 100.

Main lines, in order of rising 2θ (10 to 90 degrees two-theta):
hkl	two_theta	intensity
1 1 2	28.5	81.7
2 2 0	31.2	19.4
2 2 -1	33.3	100.0
0 4 0	34.0	18.3
0 4 1	36.0	49.5
1 1 -3	38.8	35.2
3 1 1	42.6	26.2
1 3 3	46.4	22.8
3 3 1	49.4	18.9
4 0 -2	59.1	25.6

Crystal structure
```
data_Sm2Re3B6
_chemical_formula_sum 'Sm8 Re12 B24'
_space_group_name_H-M_alt 'C 1 2/c 1'
_space_group_IT_number 15
_space_group_name_Hall '-C 2yc'
_cell_length_a 6.816
_cell_length_b 10.554
_cell_length_c 7.576
_cell_angle_alpha 90.00
_cell_angle_beta 91.07
_cell_angle_gamma 90.00
loop_
_atom_site_label
_atom_site_fract_x
_atom_site_fract_y
_atom_site_fract_z
_atom_site_occupancy
Sm1 0.230 0.173 0.175 1
Re1 0.000 0.086 0.750 1
Re2 0.102 0.408 0.412 1
B1 0.104 0.046 0.466 1
B2 0.128 0.214 0.520 1
B3 0.199 0.453 0.131 1
```

=====

9.
Structure and calculated powder XRD pattern of Pr4Sb6O19 (DFT lattice parameters and positions (PBE); Cu Kα X-rays).
Intensities are scaled so that the largest is 100.

Main lines, in order of rising 2θ (10 to 90 degrees two-theta):
hkl	two_theta	intensity
1 1 2	22.6	100.0
2 1 1	22.9	56.5
0 1 3	29.2	78.6
1 3 0	29.3	95.0
3 0 1	29.8	77.8
2 2 2	32.3	57.1
1 2 3	34.8	51.4
2 3 1	34.9	42.4
3 1 2	35.2	43.5
1 4 3	48.0	45.4

Crystal structure
```
data_Pr4Sb6O19
_chemical_formula_sum 'Pr8 Sb12 O38'
_space_group_name_H-M_alt 'I 2 2 2'
_space_group_IT_number 23
_space_group_name_Hall 'I 2 2'
_cell_length_a 9.467
_cell_length_b 9.658
_cell_length_c 9.675
_cell_angle_alpha 90.00
_cell_angle_beta 90.00
_cell_angle_gamma 90.00
loop_
_atom_site_label
_atom_site_fract_x
_atom_site_fract_y
_atom_site_fract_z
_atom_site_occupancy
Pr1 0.139 0.157 0.139 1
Sb1 0.000 0.163 0.500 1
Sb2 0.000 0.500 0.339 1
Sb3 0.157 0.500 0.000 1
O1 0.000 0.000 0.000 1
O2 0.000 0.000 0.361 1
O3 0.000 0.284 0.000 1
O4 0.020 0.286 0.332 1
O5 0.140 0.500 0.500 1
O6 0.173 0.482 0.772 1
O7 0.208 0.173 0.519 1
```

=====

10.
Structure and calculated powder XRD pattern of BaLa3Pt (DFT lattice parameters and positions (PBE); Cu Kα X-rays).
Intensities are scaled so that the largest is 100.

Main lines, in order of rising 2θ (10 to 90 degrees two-theta):
hkl	two_theta	intensity
2 0 -1	13.1	15.3
2 0 0	14.1	25.1
2 0 3	28.7	100.0
3 1 -1	29.6	18.8
3 1 -2	30.0	19.1
3 1 0	30.8	37.9
3 1 -3	31.8	37.5
0 2 0	44.8	19.0
2 2 3	54.0	22.5
4 2 -4	55.2	15.5

Crystal structure
```
data_BaLa3Pt
_chemical_formula_sum 'Ba4 La12 Pt4'
_space_group_name_H-M_alt 'C 1 2/m 1'
_space_group_IT_number 12
_space_group_name_Hall '-C 2y'
_cell_length_a 13.610
_cell_length_b 4.048
_cell_length_c 14.620
_cell_angle_alpha 90.00
_cell_angle_beta 113.00
_cell_angle_gamma 90.00
loop_
_atom_site_label
_atom_site_fract_x
_atom_site_fract_y
_atom_site_fract_z
_atom_site_occupancy
Ba1 0.009 0.000 0.162 1
La1 0.118 0.000 0.444 1
La2 0.168 0.500 0.695 1
La3 0.205 0.500 0.077 1
Pt1 0.202 0.500 0.349 1
```